This entry pairs a crystal structure of ZnCoP2H12O11 with its computed PXRD pattern. Radiation: Cu Kα. Structure: a crystal structure in OQMD, relaxed with PBE+U.

Top 12 peaks for 2θ = 10–80°, in order of rising 2θ:
hkl, two_theta, I/Imax
0 1 0, 11.97, 100
1 0 0, 12.15, 94
0 1 -1, 15.46, 40
0 2 0, 24.07, 21
2 0 0, 24.43, 21
1 1 -2, 25.69, 32
-1 1 2, 25.82, 24
1 -1 2, 26.18, 32
2 1 1, 28.34, 23
2 1 -1, 28.57, 30
-1 2 1, 29.05, 41
2 0 -2, 31.20, 19

Atomic structure:
Lattice parameters (Å, degrees): 7.2954 7.4051 9.2954 88.66 89.81 87.24
Space group P-1 (No. 2)
One atom of each set of equivalent atoms:
1 Zn 0.0035 0.4902 0.2502 x2
2 Co 0.0000 0.0000 0.0000 x1
3 Co 0.5000 0.5000 0.5000 x1
4 P 0.1279 0.2665 0.4913 x2
5 P 0.2364 0.6095 0.9844 x2
6 H 0.0446 0.0898 0.2576 x2
7 H 0.0460 0.8767 0.2688 x2
8 H 0.2224 0.0958 0.4918 x2
9 H 0.2450 0.7459 0.5958 x2
10 H 0.2477 0.2370 0.9351 x2
11 H 0.3509 0.0540 0.8887 x2
12 H 0.3661 0.0255 0.2018 x2
13 H 0.3882 0.5994 0.2468 x2
14 H 0.3956 0.4046 0.7621 x2
15 H 0.4113 0.6815 0.9728 x2
16 H 0.4348 0.8280 0.6440 x2
17 H 0.4855 0.8815 0.2890 x2
18 O 0.0182 0.7376 0.6315 x2
19 O 0.0399 0.2828 0.6411 x2
20 O 0.0855 0.7499 0.9464 x2
21 O 0.0972 0.9791 0.2111 x2
22 O 0.2275 0.4588 0.8706 x2
23 O 0.2282 0.5306 0.1393 x2
24 O 0.2512 0.4186 0.4516 x2
25 O 0.2654 0.1070 0.9622 x2
26 O 0.3789 0.7443 0.5765 x2
27 O 0.4891 0.0059 0.2456 x2
28 O 0.4990 0.6399 0.2987 x2